# 1
Diffraction record for K2Tb2S5. The powder diffraction line list is simulated, not measured: it uses a PBE-relaxed structure and Cu Kα, 1.54184 Å.
Lines closer than 0.1° are merged.

The 10 most intense peaks (15° ≤ 2θ ≤ 90°), low angle first:
h k l  Position (°2θ)  I_rel
0 0 2  17.11  33.5
0 2 0  21.99  31.8
3 1 -1  24.39  100.0
3 1 1  27.32  42.1
1 1 -3  27.69  81.3
2 2 1  28.70  33.3
2 2 2  33.23  58.7
4 2 0  36.80  26.4
3 3 1  42.01  25.8
1 3 -3  42.25  39.2

Crystal structure
Cell lengths 12.5117, 8.0851, 10.5757 Å; angles 90.00, 101.48, 90.00 degrees
Space group C2/c (No. 15)
Symmetry-distinct sites (fractional):
K 0.1940 0.1824 0.3292 [8 per cell]
Tb 0.0955 0.2798 0.9471 [8 per cell]
S 0.0000 0.1050 0.7500 [4 per cell]
S 0.0230 0.4315 0.1587 [8 per cell]
S 0.2284 0.0526 0.0681 [8 per cell]


# 2
Diffraction record for HoErTl4. The powder diffraction line list is simulated, not measured: it uses a PBE-relaxed structure and Cu Kα, 1.54184 Å.
Lines closer than 0.1° are merged.

The 10 most intense peaks (15° ≤ 2θ ≤ 90°), low angle first:
h k l  Position (°2θ)  I_rel
1 1 3  32.83  100.0
0 0 6  37.09  16.7
0 2 0  38.50  16.7
2 0 0  38.66  16.6
0 2 6  54.53  11.2
2 2 0  55.70  11.6
1 1 9  64.17  12.1
1 3 3  66.07  13.7
3 1 3  66.30  13.5
2 2 6  68.83  11.2

Crystal structure
Cell lengths 4.6577, 4.6770, 14.5437 Å; angles 90.00, 90.00, 90.00 degrees
Space group Amm2 (No. 38)
Symmetry-distinct sites (fractional):
Ho 0.0000 0.0000 0.0000 [2 per cell]
Er 0.0000 0.0000 0.6895 [2 per cell]
Tl 0.0000 0.0000 0.3447 [2 per cell]
Tl 0.5000 0.0000 0.1684 [2 per cell]
Tl 0.5000 0.0000 0.5211 [2 per cell]
Tl 0.5000 0.0000 0.8447 [2 per cell]


# 3
Diffraction record for Y4ErLu2Ni2Te2. The powder diffraction line list is simulated, not measured: it uses a PBE-relaxed structure and Cu Kα, 1.54184 Å.
Lines closer than 0.1° are merged.

The 10 most intense peaks (15° ≤ 2θ ≤ 90°), low angle first:
h k l  Position (°2θ)  I_rel
1 3 0  29.06  27.6
1 1 2  30.40  68.1
0 3 3  32.90  66.0
1 4 1  34.26  100.0
1 3 2  34.65  23.1
1 0 3  36.58  24.3
1 2 3  38.45  20.8
2 0 0  47.55  24.7
1 7 2  51.37  31.2
2 3 3  59.03  24.5

Crystal structure
Cell lengths 3.8248, 15.4813, 9.6146 Å; angles 90.00, 90.00, 90.00 degrees
Space group Imm2 (No. 44)
Symmetry-distinct sites (fractional):
Y 0.0000 0.1311 0.0000 [4 per cell]
Y 0.0000 0.3144 0.2013 [4 per cell]
Er 0.0000 0.0000 0.5786 [2 per cell]
Lu 0.0000 0.3544 0.8538 [4 per cell]
Ni 0.0000 0.2350 0.5032 [4 per cell]
Te 0.0000 0.0000 0.2469 [2 per cell]
Te 0.0000 0.5000 0.3420 [2 per cell]


# 4
Diffraction record for GdY2Al. The powder diffraction line list is simulated, not measured: it uses a PBE-relaxed structure and Cu Kα, 1.54184 Å.
Lines closer than 0.1° are merged.

The 10 most intense peaks (15° ≤ 2θ ≤ 90°), low angle first:
h k l  Position (°2θ)  I_rel
1 2 0  22.39  26.9
0 4 0  29.98  24.4
2 0 0  33.66  24.3
1 2 2  34.49  100.0
2 4 0  45.69  17.0
0 6 2  53.24  23.7
3 2 2  60.73  19.0
2 6 2  64.48  20.2
1 8 0  64.99  14.5
1 8 4  88.78  11.7

Crystal structure
Cell lengths 5.3253, 11.9220, 6.8818 Å; angles 90.00, 90.00, 90.00 degrees
Space group Ama2 (No. 40)
Symmetry-distinct sites (fractional):
Gd 0.2500 0.0869 0.0000 [4 per cell]
Y 0.2500 0.0871 0.5286 [4 per cell]
Y 0.2500 0.3255 0.7642 [4 per cell]
Al 0.2500 0.3317 0.2634 [4 per cell]


# 5
Diffraction record for Hf2AsPS2. The powder diffraction line list is simulated, not measured: it uses a PBE-relaxed structure and Cu Kα, 1.54184 Å.
Lines closer than 0.1° are merged.

The 10 most intense peaks (15° ≤ 2θ ≤ 90°), low angle first:
h k l  Position (°2θ)  I_rel
0 1 1  19.15  79.9
0 3 1  28.12  55.8
1 0 1  30.83  56.0
1 3 0  33.31  100.0
0 0 2  35.91  20.5
1 4 1  42.83  65.7
1 1 2  44.91  52.9
0 4 2  46.80  31.8
0 7 1  55.32  27.7
1 4 3  69.32  21.2

Crystal structure
Cell lengths 3.5601, 12.3179, 5.0009 Å; angles 90.00, 90.00, 90.00 degrees
Space group Imm2 (No. 44)
Symmetry-distinct sites (fractional):
Hf 0.0000 0.1361 0.0000 [4 per cell]
As 0.0000 0.5000 0.2176 [2 per cell]
P 0.0000 0.5000 0.7495 [2 per cell]
S 0.0000 0.2116 0.5007 [4 per cell]


# 6
Diffraction record for KDy2Hf2. The powder diffraction line list is simulated, not measured: it uses a PBE-relaxed structure and Cu Kα, 1.54184 Å.
Lines closer than 0.1° are merged.

The 10 most intense peaks (15° ≤ 2θ ≤ 90°), low angle first:
h k l  Position (°2θ)  I_rel
1 3 0  29.23  23.2
3 1 0  30.43  27.2
0 2 1  32.52  26.6
2 0 1  33.07  20.1
2 3 0  33.80  30.8
1 2 1  33.97  79.9
2 1 1  34.39  100.0
1 4 0  38.33  23.8
0 0 2  54.90  19.2
5 1 1  57.78  19.0

Crystal structure
Cell lengths 9.2451, 9.7118, 3.3431 Å; angles 90.00, 90.00, 90.00 degrees
Space group Pbam (No. 55)
Symmetry-distinct sites (fractional):
K 0.0000 0.0000 0.0000 [2 per cell]
Dy 0.1786 0.3200 0.5000 [4 per cell]
Hf 0.1111 0.6034 0.0000 [4 per cell]


# 7
Diffraction record for TbDyAg2As4. The powder diffraction line list is simulated, not measured: it uses a PBE-relaxed structure and Cu Kα, 1.54184 Å.
Lines closer than 0.1° are merged.

The 10 most intense peaks (15° ≤ 2θ ≤ 90°), low angle first:
h k l  Position (°2θ)  I_rel
1 0 1  23.87  13.2
1 0 2  28.25  12.7
0 0 4  34.83  18.4
1 1 2  36.24  100.0
1 0 4  41.71  12.1
2 0 0  45.37  30.3
2 0 4  58.45  21.4
1 1 6  63.34  13.6
2 2 4  76.96  11.9
3 1 2  77.78  21.0

Crystal structure
Cell lengths 3.9983, 3.9983, 10.3039 Å; angles 90.00, 90.00, 90.00 degrees
Space group P4mm (No. 99)
Symmetry-distinct sites (fractional):
Tb 0.0000 0.0000 0.0000 [1 per cell]
Dy 0.5000 0.5000 0.4515 [1 per cell]
Ag 0.0000 0.5000 0.7251 [2 per cell]
As 0.0000 0.0000 0.5363 [1 per cell]
As 0.0000 0.5000 0.2264 [2 per cell]
As 0.5000 0.5000 0.9139 [1 per cell]


# 8
Diffraction record for HfTlTeAuSe2. The powder diffraction line list is simulated, not measured: it uses a PBE-relaxed structure and Cu Kα, 1.54184 Å.
Lines closer than 0.1° are merged.

The 10 most intense peaks (15° ≤ 2θ ≤ 90°), low angle first:
h k l  Position (°2θ)  I_rel
1 1 1  28.03  33.5
1 1 -2  28.54  36.3
2 1 -1  31.05  100.0
2 1 0  32.08  42.5
1 1 -3  34.10  84.5
0 1 3  35.41  29.0
2 1 1  35.58  67.6
2 1 -4  42.44  28.9
0 2 0  45.48  42.3
3 1 -5  52.67  31.3

Crystal structure
Cell lengths 8.3378, 3.9891, 10.5204 Å; angles 90.00, 110.57, 90.00 degrees
Space group P2_1/m (No. 11)
Symmetry-distinct sites (fractional):
Hf 0.2133 0.2500 0.1783 [2 per cell]
Tl 0.2373 0.7500 0.6924 [2 per cell]
Te 0.0635 0.2500 0.8736 [2 per cell]
Au 0.4348 0.7500 0.3908 [2 per cell]
Se 0.2268 0.2500 0.4308 [2 per cell]
Se 0.4098 0.7500 0.1396 [2 per cell]


# 9
Diffraction record for Nb2GaCo2Bi. The powder diffraction line list is simulated, not measured: it uses a PBE-relaxed structure and Cu Kα, 1.54184 Å.
Lines closer than 0.1° are merged.

The 10 most intense peaks (15° ≤ 2θ ≤ 90°), low angle first:
h k l  Position (°2θ)  I_rel
1 0 1  16.73  19.2
1 1 2  26.07  26.1
2 0 0  30.14  46.6
0 0 4  30.29  22.2
2 2 0  43.14  51.1
2 0 4  43.25  100.0
2 2 4  53.62  18.6
4 0 0  62.66  16.4
4 2 0  71.13  16.7
4 2 4  79.19  32.6

Crystal structure
Cell lengths 5.9307, 5.9307, 11.8040 Å; angles 90.00, 90.00, 90.00 degrees
Space group I-42d (No. 122)
Symmetry-distinct sites (fractional):
Nb 0.0000 0.0000 0.2407 [8 per cell]
Ga 0.0000 0.0000 0.0000 [4 per cell]
Co 0.2371 0.2500 0.1250 [8 per cell]
Bi 0.0000 0.0000 0.5000 [4 per cell]


# 10
Diffraction record for HgPdSeO. The powder diffraction line list is simulated, not measured: it uses a PBE-relaxed structure and Cu Kα, 1.54184 Å.
Lines closer than 0.1° are merged.

The 10 most intense peaks (15° ≤ 2θ ≤ 90°), low angle first:
h k l  Position (°2θ)  I_rel
2 1 0  23.71  83.2
2 1 1  30.18  37.2
0 2 1  33.06  100.0
0 0 2  37.29  59.9
3 1 1  37.47  38.8
4 0 0  39.36  35.0
2 1 2  44.67  34.7
2 3 1  49.99  42.0
4 2 1  52.32  33.2
4 0 2  55.33  25.6

Crystal structure
Cell lengths 9.1573, 6.5504, 4.8227 Å; angles 90.00, 90.00, 90.00 degrees
Space group Pbcm (No. 57)
Symmetry-distinct sites (fractional):
Hg 0.0944 0.1160 0.2500 [4 per cell]
Pd 0.3547 0.6142 0.2500 [4 per cell]
Se 0.3777 0.0077 0.2500 [4 per cell]
O 0.1343 0.5014 0.2500 [4 per cell]


# 11
Diffraction record for PrNd3S3O4. The powder diffraction line list is simulated, not measured: it uses a PBE-relaxed structure and Cu Kα, 1.54184 Å.
Lines closer than 0.1° are merged.

The 10 most intense peaks (15° ≤ 2θ ≤ 90°), low angle first:
h k l  Position (°2θ)  I_rel
0 1 1  23.58  20.5
2 0 2  25.58  91.7
0 1 3  31.03  100.0
2 1 1  31.98  71.4
2 0 4  35.65  27.7
4 0 0  43.36  16.0
0 2 0  45.91  20.2
2 1 5  47.98  43.4
2 2 2  53.29  24.7
4 1 3  54.27  27.9

Crystal structure
Cell lengths 8.3477, 3.9533, 12.6300 Å; angles 90.00, 90.00, 90.00 degrees
Space group Amm2 (No. 38)
Symmetry-distinct sites (fractional):
Pr 0.0000 0.0000 0.0000 [2 per cell]
Nd 0.2654 0.0000 0.6761 [4 per cell]
Nd 0.5000 0.0000 0.9831 [2 per cell]
S 0.1298 0.0000 0.3383 [4 per cell]
S 0.5000 0.0000 0.3011 [2 per cell]
O 0.0000 0.0000 0.6052 [2 per cell]
O 0.2576 0.0000 0.0741 [4 per cell]
O 0.5000 0.0000 0.5764 [2 per cell]


# 12
Diffraction record for GdBr3. The powder diffraction line list is simulated, not measured: it uses a PBE-relaxed structure and Cu Kα, 1.54184 Å.
Lines closer than 0.1° are merged.

The 10 most intense peaks (15° ≤ 2θ ≤ 90°), low angle first:
h k l  Position (°2θ)  I_rel
1 0 1  15.01  51.3
1 1 0  18.63  88.5
1 1 3  28.77  100.0
2 1 0  29.66  32.8
2 1 3  37.07  92.2
2 2 0  37.78  49.0
0 0 6  44.29  23.7
3 0 3  46.12  64.5
2 2 6  59.59  25.1
5 2 3  80.27  27.3

Crystal structure
Cell lengths 6.7349, 6.7349, 12.2704 Å; angles 90.00, 90.00, 90.00 degrees
Space group P4_2/mnm (No. 136)
Symmetry-distinct sites (fractional):
Gd 0.0000 0.0000 0.1705 [4 per cell]
Br 0.1999 0.1999 0.0000 [4 per cell]
Br 0.2030 0.2030 0.3377 [8 per cell]